Theoretical XRD peak list of Ac3Cd2Pb for CuKα, from DFT lattice parameters and positions (PBE).
Lines closer than 0.1° are merged.

Structure:
a = 5.7951 Å, b = 17.5115 Å, c = 4.1039 Å
α = 90.00°, β = 90.00°, γ = 90.00°
Space group Cmmm (No. 65)
Asymmetric unit:
1 Ac 0.0000 0.0000 0.0000 x2
2 Ac 0.0000 0.3325 0.0000 x4
3 Cd 0.0000 0.1722 0.5000 x4
4 Pb 0.0000 0.5000 0.5000 x2

Top 12 peaks for 10 to 90 degrees two-theta, in order of falling intensity:
2.903 Å, 2θ 30.8, intensity 100, hkl 2 0 0
1.674 Å, 2θ 54.8, intensity 24, hkl 2 0 2
2.055 Å, 2θ 44.1, intensity 23, hkl 0 0 2
2.919 Å, 2θ 30.6, intensity 20, hkl 0 6 0
1.682 Å, 2θ 54.5, intensity 16, hkl 1 9 1
1.298 Å, 2θ 72.9, intensity 10, hkl 1 3 3
1.452 Å, 2θ 64.1, intensity 10, hkl 2 6 2
1.097 Å, 2θ 89.3, intensity 9, hkl 3 3 3
1.679 Å, 2θ 54.7, intensity 8, hkl 0 6 2
1.300 Å, 2θ 72.7, intensity 7, hkl 3 9 1
4.110 Å, 2θ 21.6, intensity 6, hkl 1 3 0
1.096 Å, 2θ 89.4, intensity 4, hkl 5 3 1